For SrYAl6, a cell relaxed with GGA-PBE gives the calculated powder diffraction line list in this record (Cu Kα (weighted mean of Kα1 and Kα2)).

abc: 4.451 6.320 6.139
angles: 90.00 90.00 90.00
Space group Pmm2 (No. 25)
Inequivalent atoms, fractional coordinates:
Sr: 0.000 0.000 0.000
Y: 0.500 0.500 0.229
Al: 0.000 0.256 0.479
Al: 0.000 0.500 0.869
Al: 0.500 0.000 0.407
Al: 0.500 0.282 0.746

Principal peaks in the range 2θ from 10° to 80°, by intensity:
d/Å, 2theta, I_rel, hkl
2.376, 37.9, 1000, 1 2 1
2.527, 35.5, 724, 1 0 2
3.130, 28.5, 646, 1 1 1
2.810, 31.9, 516, 0 2 1
2.761, 32.4, 493, 0 1 2
3.639, 24.5, 458, 1 1 0
2.226, 40.5, 388, 2 0 0
1.819, 50.2, 243, 1 3 1
1.745, 52.5, 243, 2 2 1
1.733, 52.8, 239, 2 1 2
3.603, 24.7, 206, 1 0 1
1.340, 70.3, 167, 1 4 2